Record 1
Diffraction record for Sr2Al2Zn. The powder X-ray diffraction pattern is calculated, not measured: it uses a GGA-PBE-relaxed structure and copper Kα.
Intensities are scaled so that the largest is 100.

Structural model:
```
Sr2Al2Zn
1.0
4.4736 0.0000 0.0000
0.0000 4.4548 0.0000
0.0000 0.0000 14.0799
Sr Al Zn
4 4 2
direct
0.0000 0.0000 0.0000
0.0000 0.0000 0.2482
0.0000 0.5000 0.5000
0.0000 0.5000 0.7482
0.5000 0.0000 0.4265
0.5000 0.0000 0.6235
0.5000 0.5000 0.1235
0.5000 0.5000 0.9265
0.5000 0.0000 0.8220
0.5000 0.5000 0.3220
```

Most intense lines, 2θ = 10–90°, sorted by position:
2θ 20.9, I 18.4; 2θ 29.0, I 100.0; 2θ 32.4, I 56.6; 2θ 34.2, I 57.8; 2θ 37.8, I 43.7; 2θ 40.3, I 25.8; 2θ 40.5, I 25.5; 2θ 52.8, I 27.5; 2θ 56.5, I 26.4; 2θ 66.7, I 17.1

---

Record 2
Diffraction record for Sr3Al4Zn4. The powder X-ray diffraction pattern is calculated, not measured: it uses a GGA-PBE-relaxed structure and copper Kα.
Intensities are scaled so that the largest is 100.

Structural model:
```
Sr3Al4Zn4
1.0
-4.0286 4.0286 4.0286
4.0286 -4.0286 4.0286
4.0286 4.0286 -4.0286
Sr Al Zn
3 4 4
direct
0.0000 0.5000 0.5000
0.5000 0.0000 0.5000
0.5000 0.5000 0.0000
0.0000 0.0000 0.7392
0.0000 0.7392 0.0000
0.2608 0.2608 0.2608
0.7392 0.0000 0.0000
0.0000 0.0000 0.3763
0.0000 0.3763 0.0000
0.3763 0.0000 0.0000
0.6237 0.6237 0.6237
```

Most intense lines, 2θ = 10–90°, sorted by position:
2θ 27.1, I 47.7; 2θ 31.4, I 100.0; 2θ 35.2, I 52.3; 2θ 42.0, I 16.1; 2θ 47.9, I 35.1; 2θ 50.7, I 21.9; 2θ 53.3, I 18.0; 2θ 55.9, I 19.5; 2θ 70.1, I 18.3; 2θ 78.8, I 14.1

---

Record 3
Diffraction record for Sr3Al9Zn2. The powder X-ray diffraction pattern is calculated, not measured: it uses a GGA-PBE-relaxed structure and copper Kα.
Intensities are scaled so that the largest is 100.

Structural model:
```
Sr3Al9Zn2
1.0
-2.2636 5.1359 6.5190
2.2636 -5.1359 6.5190
2.2636 5.1359 -6.5190
Sr Al Zn
3 9 2
direct
0.0000 0.0000 0.0000
0.3090 0.3090 0.0000
0.6910 0.6910 0.0000
0.0247 0.6592 0.3655
0.1398 0.8622 0.2776
0.2937 0.6592 0.6345
0.4154 0.1378 0.2776
0.5000 0.0000 0.5000
0.5846 0.8622 0.7224
0.7063 0.3408 0.3655
0.8602 0.1378 0.7224
0.9753 0.3408 0.6345
0.2968 0.5000 0.7968
0.7032 0.5000 0.2032
```

Most intense lines, 2θ = 10–90°, sorted by position:
2θ 21.4, I 23.9; 2θ 32.8, I 17.7; 2θ 33.3, I 32.2; 2θ 33.5, I 100.0; 2θ 35.0, I 24.3; 2θ 35.6, I 19.6; 2θ 39.8, I 39.9; 2θ 41.6, I 16.8; 2θ 52.9, I 16.8; 2θ 68.3, I 12.1

---

Record 4
Diffraction record for Sr2Al3Zn5. The powder X-ray diffraction pattern is calculated, not measured: it uses a GGA-PBE-relaxed structure and copper Kα.
Intensities are scaled so that the largest is 100.

Structural model:
```
Sr2Al3Zn5
1.0
4.5045 0.0000 0.0000
0.0000 4.5045 0.0000
0.0000 0.0000 10.4929
Sr Al Zn
2 3 5
direct
0.0000 0.5000 0.2463
0.5000 0.0000 0.7537
0.0000 0.5000 0.6378
0.5000 0.0000 0.3622
0.5000 0.5000 0.5000
0.0000 0.0000 0.0000
0.0000 0.0000 0.5000
0.0000 0.5000 0.8812
0.5000 0.0000 0.1188
0.5000 0.5000 0.0000
```

Most intense lines, 2θ = 10–90°, sorted by position:
2θ 32.4, I 61.6; 2θ 32.9, I 100.0; 2θ 40.0, I 63.3; 2θ 44.8, I 16.0; 2θ 47.8, I 18.8; 2θ 52.4, I 30.6; 2θ 57.9, I 20.6; 2θ 60.4, I 17.3; 2θ 64.1, I 15.4; 2θ 68.2, I 22.7

---

Record 5
Diffraction record for Sr3Al4Zn2. The powder X-ray diffraction pattern is calculated, not measured: it uses a GGA-PBE-relaxed structure and copper Kα.
Intensities are scaled so that the largest is 100.

Structural model:
```
Sr3Al4Zn2
1.0
4.5947 0.0000 0.0000
-2.2974 3.9792 0.0000
0.0000 0.0000 26.3286
Sr Al Zn
6 8 4
direct
0.0000 0.0000 0.0000
0.0000 0.0000 0.1617
0.0000 0.0000 0.3335
0.0000 0.0000 0.4952
0.0000 0.0000 0.6666
0.0000 0.0000 0.8282
0.3333 0.6667 0.0811
0.3333 0.6667 0.2466
0.3333 0.6667 0.5818
0.3333 0.6667 0.7470
0.3333 0.6667 0.9141
0.6667 0.3333 0.2500
0.6667 0.3333 0.5783
0.6667 0.3333 0.9142
0.3333 0.6667 0.4147
0.6667 0.3333 0.0801
0.6667 0.3333 0.4147
0.6667 0.3333 0.7478
```

Most intense lines, 2θ = 10–90°, sorted by position:
2θ 10.1, I 12.7; 2θ 22.3, I 14.2; 2θ 30.3, I 100.0; 2θ 39.2, I 42.9; 2θ 41.1, I 12.4; 2θ 50.4, I 23.5; 2θ 58.1, I 25.8; 2θ 65.6, I 21.0; 2θ 68.3, I 8.8; 2θ 85.6, I 8.5

---

Record 6
Diffraction record for SrAl2Zn. The powder X-ray diffraction pattern is calculated, not measured: it uses a GGA-PBE-relaxed structure and copper Kα.
Intensities are scaled so that the largest is 100.

Structural model:
```
SrAl2Zn
1.0
4.1799 0.0000 0.0000
0.0000 11.9366 0.0000
0.0000 0.0000 7.3796
Sr Al Zn
4 8 4
direct
0.0000 0.0495 0.2500
0.0000 0.9505 0.7500
0.5000 0.4505 0.7500
0.5000 0.5495 0.2500
0.0000 0.3322 0.0624
0.0000 0.3322 0.4376
0.0000 0.6678 0.5624
0.0000 0.6678 0.9376
0.5000 0.1678 0.5624
0.5000 0.1678 0.9376
0.5000 0.8322 0.0624
0.5000 0.8322 0.4376
0.0000 0.2306 0.7500
0.0000 0.7694 0.2500
0.5000 0.2694 0.2500
0.5000 0.7306 0.7500
```

Most intense lines, 2θ = 10–90°, sorted by position:
2θ 22.5, I 30.5; 2θ 24.1, I 44.3; 2θ 31.0, I 21.3; 2θ 32.4, I 52.8; 2θ 33.2, I 66.8; 2θ 33.4, I 100.0; 2θ 38.8, I 20.9; 2θ 43.3, I 48.1; 2θ 48.7, I 34.5; 2θ 55.1, I 22.5

---

Record 7
Diffraction record for Sr3Al3Zn2. The powder X-ray diffraction pattern is calculated, not measured: it uses a GGA-PBE-relaxed structure and copper Kα.
Intensities are scaled so that the largest is 100.

Structural model:
```
Sr3Al3Zn2
1.0
2.1414 -5.9710 0.0000
2.1414 5.9710 0.0000
0.0000 0.0000 16.9804
Sr Al Zn
6 6 4
direct
0.0392 0.9608 0.6060
0.0392 0.9608 0.8940
0.3365 0.6635 0.7500
0.6635 0.3365 0.2500
0.9608 0.0392 0.1060
0.9608 0.0392 0.3940
0.3146 0.6854 0.5326
0.3146 0.6854 0.9674
0.3735 0.6265 0.2500
0.6265 0.3735 0.7500
0.6854 0.3146 0.0326
0.6854 0.3146 0.4674
0.2527 0.7473 0.1151
0.2527 0.7473 0.3849
0.7473 0.2527 0.6151
0.7473 0.2527 0.8849
```

Most intense lines, 2θ = 10–90°, sorted by position:
2θ 27.2, I 15.8; 2θ 30.4, I 14.7; 2θ 30.6, I 100.0; 2θ 31.1, I 22.6; 2θ 31.6, I 16.8; 2θ 34.6, I 57.3; 2θ 36.8, I 29.1; 2θ 42.2, I 25.4; 2θ 48.8, I 18.3; 2θ 57.2, I 15.6

---

Record 8
Diffraction record for SrZr3Al. The powder X-ray diffraction pattern is calculated, not measured: it uses a GGA-PBE-relaxed structure and copper Kα.
Intensities are scaled so that the largest is 100.

Structural model:
```
SrZr3Al
1.0
5.2513 0.0000 0.0000
0.0000 5.2513 0.0000
0.0000 0.0000 5.2513
Sr Zr Al
1 3 1
direct
0.0000 0.0000 0.0000
0.0000 0.5000 0.5000
0.5000 0.0000 0.5000
0.5000 0.5000 0.0000
0.5000 0.5000 0.5000
```

Most intense lines, 2θ = 10–90°, sorted by position:
2θ 16.9, I 3.1; 2θ 29.5, I 100.0; 2θ 34.1, I 67.7; 2θ 38.3, I 1.3; 2θ 49.1, I 47.3; 2θ 58.3, I 41.6; 2θ 61.1, I 16.0; 2θ 71.9, I 7.3; 2θ 79.6, I 16.5; 2θ 82.1, I 20.5

---

Record 9
Diffraction record for SrZrAl. The powder X-ray diffraction pattern is calculated, not measured: it uses a GGA-PBE-relaxed structure and copper Kα.
Intensities are scaled so that the largest is 100.

Structural model:
```
SrZrAl
1.0
3.3178 0.0000 0.0000
0.0000 3.3178 0.0000
0.0000 0.0000 14.4442
Sr Zr Al
2 2 2
direct
0.0000 0.0000 0.0000
0.5000 0.5000 0.5000
0.0000 0.0000 0.7059
0.5000 0.5000 0.2059
0.0000 0.0000 0.3279
0.5000 0.5000 0.8279
```

Most intense lines, 2θ = 10–90°, sorted by position:
2θ 24.7, I 24.6; 2θ 27.6, I 28.5; 2θ 32.8, I 100.0; 2θ 38.4, I 37.4; 2θ 46.1, I 17.8; 2θ 52.2, I 19.5; 2θ 54.6, I 13.8; 2θ 55.4, I 12.6; 2θ 65.9, I 25.5; 2θ 79.6, I 11.2

---

Record 10
Diffraction record for Ta5Al3. The powder X-ray diffraction pattern is calculated, not measured: it uses a GGA-PBE-relaxed structure and copper Kα.
Intensities are scaled so that the largest is 100.

Structural model:
```
Ta5Al3
1.0
2.5670 -7.3176 0.0000
2.5670 7.3176 0.0000
-2.5552 0.0000 7.3162
Ta Al
10 6
direct
0.0767 0.7246 0.7976
0.2401 0.4423 0.6480
0.2553 0.2553 0.0107
0.2754 0.9233 0.2024
0.4423 0.2401 0.6480
0.5577 0.7599 0.3520
0.7246 0.0767 0.7976
0.7447 0.7447 0.9893
0.7599 0.5577 0.3520
0.9233 0.2754 0.2024
0.1416 0.1416 0.3336
0.2470 0.7530 0.5000
0.3338 0.6662 0.0000
0.6662 0.3338 0.0000
0.7530 0.2470 0.5000
0.8584 0.8584 0.6664
```

Most intense lines, 2θ = 10–90°, sorted by position:
2θ 25.9, I 48.3; 2θ 27.3, I 43.4; 2θ 35.0, I 24.2; 2θ 35.8, I 81.0; 2θ 38.9, I 55.2; 2θ 39.2, I 29.5; 2θ 40.0, I 100.0; 2θ 43.0, I 61.3; 2θ 63.6, I 23.5; 2θ 65.2, I 23.6

---

Record 11
Diffraction record for TaAl4. The powder X-ray diffraction pattern is calculated, not measured: it uses a GGA-PBE-relaxed structure and copper Kα.
Intensities are scaled so that the largest is 100.

Structural model:
```
TaAl4
1.0
6.5975 0.0000 0.0000
0.0000 6.5975 0.0000
0.0000 0.0000 3.7503
Ta Al
2 8
direct
0.0000 0.0000 0.0000
0.5000 0.5000 0.5000
0.1118 0.2972 0.5000
0.2028 0.6118 0.0000
0.2972 0.8882 0.5000
0.3882 0.2028 0.0000
0.6118 0.7972 0.0000
0.7028 0.1118 0.5000
0.7972 0.3882 0.0000
0.8882 0.7028 0.5000
```

Most intense lines, 2θ = 10–90°, sorted by position:
2θ 19.0, I 68.4; 2θ 27.0, I 25.3; 2θ 27.4, I 56.9; 2θ 38.6, I 13.3; 2θ 38.8, I 100.0; 2θ 43.4, I 37.2; 2θ 48.0, I 14.6; 2θ 55.9, I 15.4; 2θ 67.1, I 20.5; 2θ 76.5, I 25.6